Calculated powder diffractogram of Sm4Dy19Tm6 for Cu Kα, 1.54184 Å, from the PBE geometry in Alexandria.
Lines closer than 0.1° are merged.

Principal peaks in the range 2θ = 10–80°, sorted by position:
h k l	2θ/deg	I (rel.)
3 1 2	26.81	485
4 0 0	28.70	601
4 1 1	30.49	1000
4 2 2	35.35	431
4 1 3	36.84	752
4 3 3	42.37	229
6 3 3	54.18	260
7 1 4	60.46	299
8 0 2	61.46	217
7 5 4	72.02	182

Crystal structure
a b c (Å): 12.440 12.440 12.440
angles (deg): 90.00 90.00 90.00
Space group I23 (No. 197)
Unique sites:
Sm (0.179, 0.179, 0.821) x8
Dy (0.000, 0.000, 0.000) x2
Dy (0.000, 0.000, 0.264) x12
Dy (0.062, 0.265, 0.277) x24
Tm (0.000, 0.374, 0.500) x12